[1]
# CaVSi2O6
Theoretical powder X-ray diffraction pattern, Cu Kα, 1.54184 Å. Input: a DFT-relaxed cell (PBE+U, the Materials Project).
Intensities are scaled so that the largest is 1000.

Main lines, low angle first (10° ≤ 2θ ≤ 80°):
2theta, d (Å), Rel. int., h k l
29.26, 3.053, 1000, 2 2 -1
34.20, 2.622, 242, 1 3 -1
34.65, 2.588, 326, 2 2 1
35.01, 2.563, 303, 0 0 2
41.32, 2.185, 175, 3 3 -1
50.72, 1.800, 118, 1 5 0
54.97, 1.670, 119, 5 3 -1
55.91, 1.645, 132, 2 2 -3
60.66, 1.527, 138, 1 3 -3
63.31, 1.469, 159, 5 3 1

Structure:
```
data_CaVSi2O6
_cell_length_a 10.052
_cell_length_b 9.159
_cell_length_c 5.310
_cell_angle_alpha 90.00
_cell_angle_beta 105.14
_cell_angle_gamma 90.00
_symmetry_space_group_name_H-M 'C 1 2/c 1'
_symmetry_Int_Tables_number 15
loop_
_symmetry_equiv_pos_as_xyz
'x,y,z'
'-x,-y,-z'
'-x,y,-z+1/2'
'x,-y,z+1/2'
'x+1/2,y+1/2,z'
'-x+1/2,-y+1/2,-z'
'-x+1/2,y+1/2,-z+1/2'
'x+1/2,-y+1/2,z+1/2'
loop_
_atom_site_label
_atom_site_type_symbol
_atom_site_fract_x
_atom_site_fract_y
_atom_site_fract_z
Ca1 Ca 0.000 0.202 0.250
V1 V 0.000 0.410 0.750
Si1 Si 0.211 0.093 0.764
O1 O 0.122 0.408 0.153
O2 O 0.135 0.245 0.674
O3 O 0.150 0.018 0.003
```

=====

[2]
# CaVSi4O15
Theoretical powder X-ray diffraction pattern, Cu Kα, 1.54184 Å. Input: a DFT-relaxed cell (PBE+U, the Materials Project).
Intensities are scaled so that the largest is 1000.

Main lines, low angle first (10° ≤ 2θ ≤ 80°):
2theta, d (Å), Rel. int., h k l
10.58, 8.359, 934, 1 1 0
14.34, 6.178, 925, 1 1 1
19.37, 4.584, 509, 0 0 2
22.11, 4.021, 633, 1 1 2
23.38, 3.804, 1000, 2 2 1
26.13, 3.410, 686, 4 0 0
32.72, 2.737, 241, 1 3 2
33.89, 2.645, 267, 0 2 3
36.42, 2.467, 266, 3 1 3
37.78, 2.381, 241, 3 3 2

Structure:
```
data_CaVSi4O15
_cell_length_a 13.640
_cell_length_b 10.578
_cell_length_c 9.172
_cell_angle_alpha 90.00
_cell_angle_beta 90.00
_cell_angle_gamma 90.00
_symmetry_space_group_name_H-M 'C m c 21'
_symmetry_Int_Tables_number 36
loop_
_symmetry_equiv_pos_as_xyz
'x,y,z'
'-x,-y,z+1/2'
'-x,y,z'
'x,-y,z+1/2'
'x+1/2,y+1/2,z'
'-x+1/2,-y+1/2,z+1/2'
'-x+1/2,y+1/2,z'
'x+1/2,-y+1/2,z+1/2'
loop_
_atom_site_label
_atom_site_type_symbol
_atom_site_fract_x
_atom_site_fract_y
_atom_site_fract_z
Ca1 Ca 0.000 0.223 0.000
V1 V 0.000 0.041 0.691
Si1 Si 0.214 0.108 0.157
Si2 Si 0.216 0.137 0.818
O1 O 0.000 0.115 0.538
O2 O 0.000 0.370 0.179
O3 O 0.000 0.490 0.925
O4 O 0.080 0.423 0.950
O5 O 0.094 0.090 0.159
O6 O 0.095 0.127 0.809
O7 O 0.237 0.480 0.225
O8 O 0.245 0.230 0.252
O9 O 0.248 0.132 0.989
```

=====

[3]
# Ca9Si6W4O28
Theoretical powder X-ray diffraction pattern, Cu Kα, 1.54184 Å. Input: a DFT-relaxed cell (PBE+U, the Materials Project).
Intensities are scaled so that the largest is 1000.

Main lines, low angle first (10° ≤ 2θ ≤ 80°):
2theta, d (Å), Rel. int., h k l
13.06, 6.780, 750, 0 1 1
13.32, 6.649, 849, 1 0 1
18.01, 4.925, 1000, 1 -1 1
18.72, 4.740, 656, 1 0 2
19.45, 4.564, 678, 1 1 2
20.74, 4.282, 593, 0 2 1
25.40, 3.506, 279, 1 -2 1
30.11, 2.968, 504, 2 -1 0
30.57, 2.924, 302, 1 2 3
33.59, 2.668, 377, 1 1 -3

Structure:
```
data_Ca9Si6W4O28
_cell_length_a 7.517
_cell_length_b 10.136
_cell_length_c 10.359
_cell_angle_alpha 86.84
_cell_angle_beta 72.17
_cell_angle_gamma 72.97
_symmetry_space_group_name_H-M 'P -1'
_symmetry_Int_Tables_number 2
loop_
_symmetry_equiv_pos_as_xyz
'x,y,z'
'-x,-y,-z'
loop_
_atom_site_label
_atom_site_type_symbol
_atom_site_fract_x
_atom_site_fract_y
_atom_site_fract_z
Ca1 Ca 0.000 0.000 0.000
Ca2 Ca 0.112 0.338 0.089
Ca3 Ca 0.207 0.350 0.460
Ca4 Ca 0.299 0.662 0.555
Ca5 Ca 0.338 0.613 0.920
Si1 Si 0.158 0.631 0.258
Si2 Si 0.259 0.356 0.748
Si3 Si 0.415 0.837 0.146
W1 W 0.112 0.077 0.387
W2 W 0.494 0.141 0.216
O1 O 0.049 0.268 0.317
O2 O 0.067 0.782 0.954
O3 O 0.082 0.307 0.720
O4 O 0.153 0.892 0.495
O5 O 0.158 0.578 0.410
O6 O 0.174 0.470 0.872
O7 O 0.242 0.768 0.224
O8 O 0.278 0.515 0.136
O9 O 0.327 0.004 0.182
O10 O 0.356 0.097 0.406
O11 O 0.375 0.407 0.603
O12 O 0.395 0.215 0.800
O13 O 0.454 0.707 0.708
O14 O 0.485 0.797 0.983
```